Starting from the GGA-PBE geometry in Alexandria, the powder X-ray diffraction pattern of V4Mo3Rh was computed for Cu Ka.

Largest 10 diffraction maxima, in order of falling intensity, 5° ≤ 2θ ≤ 70°:
Position (°2θ), I/Imax
41.74, 100
41.55, 25
41.86, 25
29.17, 22
60.45, 16
60.57, 8
68.57, 6
51.59, 3
51.85, 3
68.28, 1

Structure:
Cell: 3.057 4.347 8.633 Å, 90.00 90.00 90.00°
Space group Pmmm (No. 47)
Symmetry-distinct sites (fractional):
1 V 0.000 0.000 0.000
2 V 0.000 0.000 0.500
3 V 0.000 0.500 0.247
4 Mo 0.500 0.000 0.255
5 Mo 0.500 0.500 0.000
6 Rh 0.500 0.500 0.500


Starting from the GGA-PBE geometry in Alexandria, the powder X-ray diffraction pattern of DyTm4Tl7 was computed for Cu Ka.

Largest 10 diffraction maxima, in order of falling intensity, 5° ≤ 2θ ≤ 70°:
Position (°2θ), I/Imax
34.29, 100
31.67, 91
37.57, 77
32.31, 52
28.69, 46
45.87, 43
38.19, 35
60.32, 30
43.26, 29
58.10, 22

Structure:
Cell: 13.470 5.650 11.232 Å, 90.00 123.69 90.00°
Space group C2/m (No. 12)
Symmetry-distinct sites (fractional):
1 Dy 0.000 0.000 0.000
2 Tm 0.083 0.500 0.784
3 Tm 0.217 0.500 0.326
4 Tl 0.000 0.500 0.000
5 Tl 0.082 0.000 0.329
6 Tl 0.135 0.500 0.548
7 Tl 0.213 0.000 0.894